Entry 1:
This entry pairs a crystal structure of Nd4SbTe2 with its simulated X-ray diffraction stick pattern. Radiation: copper Kα. Structure: the GGA-PBE geometry in Alexandria.
No peak broadening, texture or thermal motion is included.

Atomic structure:
```
data_Nd4SbTe2
_cell_length_a 4.3543
_cell_length_b 14.5231
_cell_length_c 14.8163
_cell_angle_alpha 90.00
_cell_angle_beta 90.00
_cell_angle_gamma 90.00
_symmetry_space_group_name_H-M 'C m c m'
_symmetry_Int_Tables_number 63
_symmetry_space_group_name_Hall '-C 2c 2'
loop_
_atom_site_label
_atom_site_type_symbol
_atom_site_fract_x
_atom_site_fract_y
_atom_site_fract_z
Nd1 Nd 0.0000 0.0000 0.0000
Nd2 Nd 0.0000 0.2834 0.1293
Nd3 Nd 0.0000 0.4442 0.7500
Sb1 Sb 0.0000 0.0994 0.7500
Te1 Te 0.0000 0.3580 0.5629
```

Peak list (10 most intense, 10° ≤ 2θ ≤ 80°, by angle)
| Position (°2θ) | d_spacing | Rel. int. | index |
| --- | --- | --- | --- |
| 27.02 | 3.300 | 84 | 0 2 4 |
| 27.55 | 3.237 | 48 | 1 3 0 |
| 28.22 | 3.163 | 100 | 1 3 1 |
| 30.13 | 2.967 | 65 | 1 3 2 |
| 37.22 | 2.416 | 66 | 1 1 5 |
| 39.19 | 2.299 | 40 | 0 6 2 |
| 41.51 | 2.176 | 65 | 2 0 0 |
| 41.61 | 2.170 | 36 | 1 5 3 |
| 50.21 | 1.817 | 33 | 2 2 4 |
| 66.79 | 1.401 | 20 | 1 9 4 |

=====

Entry 2:
This entry pairs a crystal structure of ZnCu3Re with its simulated X-ray diffraction stick pattern. Radiation: copper Kα. Structure: the GGA-PBE geometry in Alexandria.
No peak broadening, texture or thermal motion is included.

Atomic structure:
```
data_ZnCu3Re
_cell_length_a 4.6882
_cell_length_b 4.6882
_cell_length_c 4.6882
_cell_angle_alpha 90.00
_cell_angle_beta 90.00
_cell_angle_gamma 90.00
_symmetry_space_group_name_H-M 'P m -3 m'
_symmetry_Int_Tables_number 221
_symmetry_space_group_name_Hall '-P 4 2 3'
loop_
_atom_site_label
_atom_site_type_symbol
_atom_site_fract_x
_atom_site_fract_y
_atom_site_fract_z
Zn1 Zn 0.0000 0.0000 0.0000
Cu1 Cu 0.0000 0.5000 0.5000
Re1 Re 0.5000 0.5000 0.5000
```

Peak list (10 most intense, 10° ≤ 2θ ≤ 80°, by angle)
| Position (°2θ) | d_spacing | Rel. int. | index |
| --- | --- | --- | --- |
| 18.93 | 4.688 | 90 | 1 0 0 |
| 26.89 | 3.315 | 82 | 1 1 0 |
| 38.40 | 2.344 | 100 | 2 0 0 |
| 43.15 | 2.097 | 44 | 2 1 0 |
| 47.51 | 1.914 | 36 | 2 1 1 |
| 55.43 | 1.658 | 67 | 2 2 0 |
| 59.12 | 1.563 | 22 | 3 0 0 |
| 62.66 | 1.483 | 16 | 3 1 0 |
| 69.45 | 1.353 | 22 | 2 2 2 |
| 75.94 | 1.253 | 18 | 3 2 1 |

=====

Entry 3:
This entry pairs a crystal structure of Cs2Hg2IrCl4 with its simulated X-ray diffraction stick pattern. Radiation: copper Kα. Structure: the GGA-PBE geometry in Alexandria.
No peak broadening, texture or thermal motion is included.

Atomic structure:
```
data_Cs2Hg2IrCl4
_cell_length_a 8.1208
_cell_length_b 8.1208
_cell_length_c 8.4430
_cell_angle_alpha 90.00
_cell_angle_beta 90.00
_cell_angle_gamma 90.00
_symmetry_space_group_name_H-M 'I 4/m m m'
_symmetry_Int_Tables_number 139
_symmetry_space_group_name_Hall '-I 4 2'
loop_
_atom_site_label
_atom_site_type_symbol
_atom_site_fract_x
_atom_site_fract_y
_atom_site_fract_z
Cs1 Cs 0.0000 0.5000 0.2500
Hg1 Hg 0.0000 0.0000 0.1718
Ir1 Ir 0.0000 0.0000 0.5000
Cl1 Cl 0.2076 0.2076 0.5000
```

Peak list (10 most intense, 10° ≤ 2θ ≤ 80°, by angle)
| Position (°2θ) | d_spacing | Rel. int. | index |
| --- | --- | --- | --- |
| 15.43 | 5.742 | 48 | 1 1 0 |
| 21.89 | 4.060 | 100 | 2 0 0 |
| 30.55 | 2.926 | 30 | 2 0 2 |
| 31.15 | 2.871 | 75 | 2 2 0 |
| 33.71 | 2.659 | 52 | 1 0 3 |
| 40.55 | 2.225 | 50 | 2 1 3 |
| 44.63 | 2.030 | 26 | 4 0 0 |
| 50.24 | 1.816 | 27 | 4 2 0 |
| 52.00 | 1.758 | 35 | 3 2 3 |
| 66.46 | 1.407 | 22 | 5 0 3 |